This entry pairs a crystal structure of TiCuNi2 with its computed powder X-ray diffraction pattern. Radiation: copper Kα. Structure: a DFT-relaxed cell (GGA-PBE, the Materials Project).
No peak broadening, texture or thermal motion is included.

Peak list (10 most intense, 10 to 90 degrees two-theta, sorted by position)
d (Å)  2θ (°)  I/Imax  hkl
2.235  40.4  191  0 2 1
2.212  40.8  156  0 0 2
2.115  42.7  393  2 0 0
1.976  45.9  1000  1 2 1
1.960  46.3  395  1 0 2
1.536  60.2  107  2 2 1
1.529  60.6  89  2 0 2
1.282  74.0  131  0 2 3
1.193  80.5  167  3 2 1
1.096  89.4  155  2 2 3

```
data_TiCuNi2
_chemical_formula_sum 'Ti2 Cu2 Ni4'
_symmetry_space_group_name_H-M 'P m m n'
_symmetry_Int_Tables_number 59
_cell_length_a 4.2304
_cell_length_b 5.1798
_cell_length_c 4.4245
_cell_angle_alpha 90.00
_cell_angle_beta 90.00
_cell_angle_gamma 90.00
loop_
_symmetry_equiv_pos_as_xyz
'x,y,z'
'-x,-y,-z'
'-x+1/2,-y+1/2,z'
'x+1/2,y+1/2,-z'
'x+1/2,-y,-z'
'-x+1/2,y,z'
'-x,y+1/2,-z'
'x,-y+1/2,z'
loop_
_atom_site_label
_atom_site_type_symbol
_atom_site_fract_x
_atom_site_fract_y
_atom_site_fract_z
Ti1 Ti 0.2500 0.2500 0.1672
Cu1 Cu 0.2500 0.7500 0.1880
Ni1 Ni 0.2500 0.0007 0.6715
```



This entry pairs a crystal structure of TiCuNi2 with its computed powder X-ray diffraction pattern. Radiation: copper Kα. Structure: a DFT-relaxed cell (GGA-PBE, the Materials Project).
No peak broadening, texture or thermal motion is included.

Peak list (10 most intense, 10 to 90 degrees two-theta, sorted by position)
d (Å)  2θ (°)  I/Imax  hkl
5.465  16.2  33  0 0 1
2.628  34.1  11  1 0 1
2.120  42.7  586  1 1 0
2.019  44.9  1000  1 0 2
1.976  45.9  12  1 1 1
1.557  59.4  9  1 0 3
1.499  61.9  177  2 0 0
1.366  68.7  62  0 0 4
1.203  79.7  321  2 1 2
1.148  84.3  137  1 1 4

```
data_TiCuNi2
_chemical_formula_sum 'Ti1 Cu1 Ni2'
_symmetry_space_group_name_H-M 'P 4/m m m'
_symmetry_Int_Tables_number 123
_symmetry_space_group_name_Hall '-P 4 2'
_cell_length_a 2.9975
_cell_length_b 2.9975
_cell_length_c 5.4647
_cell_angle_alpha 90.00
_cell_angle_beta 90.00
_cell_angle_gamma 90.00
loop_
_atom_site_label
_atom_site_type_symbol
_atom_site_fract_x
_atom_site_fract_y
_atom_site_fract_z
Ti1 Ti 0.0000 0.0000 0.0000
Cu1 Cu 0.0000 0.0000 0.5000
Ni1 Ni 0.5000 0.5000 0.2556
```



This entry pairs a crystal structure of TiCuNi2 with its computed powder X-ray diffraction pattern. Radiation: copper Kα. Structure: a DFT-relaxed cell (GGA-PBE, the Materials Project).
No peak broadening, texture or thermal motion is included.

Peak list (9 most intense, 10 to 90 degrees two-theta, sorted by position)
d (Å)  2θ (°)  I/Imax  hkl
3.267  27.3  26  1 0 1
2.101  43.0  1000  1 1 2
1.999  45.4  7  1 0 3
1.837  49.6  320  2 0 0
1.787  51.1  146  0 0 4
1.601  57.6  7  2 1 1
1.299  72.8  92  2 2 0
1.281  74.0  175  2 0 4
1.105  88.5  216  3 1 2

```
data_TiCuNi2
_chemical_formula_sum 'Ti2 Cu2 Ni4'
_symmetry_space_group_name_H-M 'I 4/m m m'
_symmetry_Int_Tables_number 139
_symmetry_space_group_name_Hall '-I 4 2'
_cell_length_a 3.6736
_cell_length_b 3.6736
_cell_length_c 7.1493
_cell_angle_alpha 90.00
_cell_angle_beta 90.00
_cell_angle_gamma 90.00
loop_
_atom_site_label
_atom_site_type_symbol
_atom_site_fract_x
_atom_site_fract_y
_atom_site_fract_z
Ti1 Ti 0.0000 0.0000 0.0000
Cu1 Cu 0.0000 0.0000 0.5000
Ni1 Ni 0.0000 0.5000 0.2500
```



This entry pairs a crystal structure of U2Cu5Ni5 with its computed powder X-ray diffraction pattern. Radiation: copper Kα. Structure: a DFT-relaxed cell (GGA-PBE, the Materials Project).
No peak broadening, texture or thermal motion is included.

Peak list (10 most intense, 10 to 90 degrees two-theta, sorted by position)
d (Å)  2θ (°)  I/Imax  hkl
3.908  22.8  301  1 1 -1
3.409  26.1  483  2 0 -2
2.439  36.9  224  2 0 2
2.419  37.2  426  3 1 -1
2.401  37.5  406  1 1 -3
2.075  43.6  382  3 1 1
2.064  43.9  584  1 1 3
2.049  44.2  1000  2 2 0
2.041  44.4  399  0 2 2
1.954  46.5  236  2 2 -2

```
data_U2Cu5Ni5
_chemical_formula_sum 'U4 Cu10 Ni10'
_symmetry_space_group_name_H-M 'C 1 m 1'
_symmetry_Int_Tables_number 8
_cell_length_a 8.4201
_cell_length_b 4.7711
_cell_length_c 8.3341
_cell_angle_alpha 90.00
_cell_angle_beta 108.78
_cell_angle_gamma 90.00
loop_
_symmetry_equiv_pos_as_xyz
'x,y,z'
'x,-y,z'
'x+1/2,y+1/2,z'
'x+1/2,-y+1/2,z'
loop_
_atom_site_label
_atom_site_type_symbol
_atom_site_fract_x
_atom_site_fract_y
_atom_site_fract_z
U1 U 0.0000 0.0000 0.0000
U2 U 0.0009 0.5000 0.5025
Cu1 Cu 0.1929 0.2472 0.8120
Cu2 Cu 0.1928 0.2519 0.3126
Cu3 Cu 0.1929 0.5000 0.0652
Ni1 Ni 0.1921 0.0000 0.5629
Ni2 Ni 0.3783 0.0000 0.1246
Ni3 Ni 0.3794 0.5000 0.6272
Ni4 Ni 0.4420 0.0000 0.8133
Ni5 Ni 0.4422 0.5000 0.3124
```



This entry pairs a crystal structure of Y2Cu5Ni5 with its computed powder X-ray diffraction pattern. Radiation: copper Kα. Structure: a DFT-relaxed cell (GGA-PBE, the Materials Project).
No peak broadening, texture or thermal motion is included.

Peak list (10 most intense, 10 to 90 degrees two-theta, sorted by position)
d (Å)  2θ (°)  I/Imax  hkl
2.923  30.6  226  1 1 1
2.494  36.0  253  0 2 0
2.160  41.8  295  0 0 4
2.112  42.8  1000  1 1 3
1.984  45.7  286  2 0 0
1.897  48.0  251  1 2 2
1.461  63.7  158  2 0 4
1.354  69.4  146  1 3 3
1.246  76.4  112  0 2 6
1.169  82.5  131  3 1 3

```
data_Y2Cu5Ni5
_chemical_formula_sum 'Y2 Cu5 Ni5'
_symmetry_space_group_name_H-M 'P m m m'
_symmetry_Int_Tables_number 47
_cell_length_a 3.9688
_cell_length_b 4.9954
_cell_length_c 8.6260
_cell_angle_alpha 90.00
_cell_angle_beta 90.00
_cell_angle_gamma 90.00
loop_
_symmetry_equiv_pos_as_xyz
'x,y,z'
'-x,-y,-z'
'-x,-y,z'
'x,y,-z'
'x,-y,-z'
'-x,y,z'
'-x,y,-z'
'x,-y,z'
loop_
_atom_site_label
_atom_site_type_symbol
_atom_site_fract_x
_atom_site_fract_y
_atom_site_fract_z
Y1 Y 0.0000 0.0000 0.0000
Y2 Y 0.0000 0.5000 0.5000
Cu1 Cu 0.0000 0.0000 0.3309
Cu2 Cu 0.0000 0.5000 0.1676
Cu3 Cu 0.5000 0.0000 0.5000
Ni1 Ni 0.5000 0.2516 0.2486
Ni2 Ni 0.5000 0.5000 0.0000
```



This entry pairs a crystal structure of Y2Cu5Ni12 with its computed powder X-ray diffraction pattern. Radiation: copper Kα. Structure: a DFT-relaxed cell (GGA-PBE, the Materials Project).
No peak broadening, texture or thermal motion is included.

Peak list (10 most intense, 10 to 90 degrees two-theta, sorted by position)
d (Å)  2θ (°)  I/Imax  hkl
2.909  30.7  145  2 0 2
2.404  37.4  356  3 3 0
2.167  41.7  370  2 2 3
2.082  43.5  620  2 6 0
2.070  43.7  1000  3 3 2
2.033  44.6  347  0 0 4
1.853  49.2  554  4 0 2
1.827  49.9  138  1 3 4
1.203  79.7  135  6 6 0
1.181  81.5  190  3 3 6

```
data_Y2Cu5Ni12
_chemical_formula_sum 'Y8 Cu20 Ni48'
_symmetry_space_group_name_H-M 'C m c m'
_symmetry_Int_Tables_number 63
_symmetry_space_group_name_Hall '-C 2c 2'
_cell_length_a 8.3393
_cell_length_b 14.4093
_cell_length_c 8.1327
_cell_angle_alpha 90.00
_cell_angle_beta 90.00
_cell_angle_gamma 90.00
loop_
_atom_site_label
_atom_site_type_symbol
_atom_site_fract_x
_atom_site_fract_y
_atom_site_fract_z
Y1 Y 0.0000 0.9996 0.2500
Y2 Y 0.0000 0.3337 0.2500
Cu1 Cu 0.0000 0.3333 0.6050
Cu2 Cu 0.0000 0.5000 0.0000
Cu3 Cu 0.2500 0.2500 0.0000
Ni1 Ni 0.0000 0.1642 0.0181
Ni2 Ni 0.1440 0.1820 0.7500
Ni3 Ni 0.1550 0.4810 0.7500
Ni4 Ni 0.2008 0.1629 0.2500
Ni5 Ni 0.2464 0.0821 0.5182
```